The following is a calculated powder diffractogram of NdZrSi4. It was derived from the PBE geometry in Alexandria, using Cu Kα (weighted mean of Kα1 and Kα2).
Neutral-atom scattering factors, no anomalous dispersion.

Cell and atoms:
```
NdZrSi4
1.0
7.334 0.000 0.000
0.000 16.294 0.000
0.000 0.000 3.882
Nd Zr Si
4 4 16
Direct
0.125 0.170 0.000
0.375 0.670 0.000
0.625 0.330 0.000
0.875 0.830 0.000
0.127 0.412 0.000
0.373 0.912 0.000
0.627 0.088 0.000
0.873 0.588 0.000
0.040 0.687 0.500
0.102 0.944 0.500
0.142 0.543 0.500
0.215 0.807 0.500
0.285 0.307 0.500
0.358 0.043 0.500
0.398 0.444 0.500
0.460 0.187 0.500
0.540 0.813 0.500
0.602 0.556 0.500
0.642 0.957 0.500
0.715 0.693 0.500
0.785 0.193 0.500
0.858 0.457 0.500
0.898 0.056 0.500
0.960 0.313 0.500
```

Main lines, low angle first (2θ from 10° to 90°):
20.3 deg, intensity 14, (1 3 0)
24.9 deg, intensity 26, (2 1 0)
25.0 deg, intensity 22, (1 4 0)
30.8 deg, intensity 23, (1 3 1)
31.8 deg, intensity 15, (0 4 1)
34.1 deg, intensity 100, (2 1 1)
38.1 deg, intensity 22, (1 5 1)
43.2 deg, intensity 14, (3 4 0)
46.8 deg, intensity 16, (0 0 2)
52.2 deg, intensity 15, (2 7 1)